# 1
Diffraction record for Sr2V3O9. The X-ray diffraction stick pattern is theoretical, not measured: it uses the GGA+U geometry in the Materials Project and copper Kα.
Peak positions follow from Bragg's law for the DFT cell and can differ from measured ones.

Top 10 peaks for 10 to 90 degrees two-theta, by angle:
| Position (°2θ) | I_rel |
| --- | --- |
| 24.8 | 34 |
| 26.9 | 47 |
| 28.1 | 89 |
| 29.2 | 76 |
| 30.5 | 100 |
| 34.7 | 32 |
| 36.6 | 43 |
| 49.6 | 25 |
| 51.2 | 30 |
| 58.1 | 30 |

Atomic structure:
a = 9.0972 Å, b = 9.0972 Å, c = 7.0692 Å
α = 102.17°, β = 102.17°, γ = 130.17°
Fractional positions:
Sr: 0.0489 0.9511 0.5000
Sr: 0.3763 0.6278 0.0015
Sr: 0.6278 0.3763 0.5015
Sr: 0.9511 0.0489 0.0000
V: 0.1604 0.8414 0.0015
V: 0.4213 0.5793 0.5005
V: 0.4679 0.9763 0.7228
V: 0.5793 0.4213 0.0005
V: 0.8414 0.1604 0.5015
V: 0.9763 0.4679 0.2228
O: 0.0187 0.2135 0.7282
O: 0.0577 0.6079 0.0273
O: 0.2133 0.7865 0.5042
O: 0.2135 0.0187 0.2282
O: 0.2204 0.4981 0.2593
O: 0.3183 0.3557 0.5316
O: 0.3557 0.3183 0.0316
O: 0.3918 0.9434 0.9713
O: 0.4981 0.2204 0.7593
O: 0.5013 0.7811 0.7401
O: 0.6079 0.0577 0.5273
O: 0.6464 0.6839 0.4715
O: 0.6839 0.6464 0.9715
O: 0.7811 0.5013 0.2401
O: 0.7865 0.2133 0.0042
O: 0.7895 0.9835 0.2757
O: 0.9434 0.3918 0.4713
O: 0.9835 0.7895 0.7757

---

# 2
Diffraction record for Sr8V6O19. The X-ray diffraction stick pattern is theoretical, not measured: it uses the GGA+U geometry in the Materials Project and copper Kα.
Peak positions follow from Bragg's law for the DFT cell and can differ from measured ones.

Top 10 peaks for 10 to 90 degrees two-theta, by angle:
| Position (°2θ) | I_rel |
| --- | --- |
| 31.8 | 100 |
| 32.0 | 30 |
| 32.2 | 30 |
| 41.3 | 25 |
| 45.1 | 14 |
| 46.0 | 42 |
| 56.9 | 19 |
| 57.1 | 18 |
| 66.4 | 16 |
| 76.2 | 13 |

Atomic structure:
a = 5.5673 Å, b = 14.3465 Å, c = 14.3465 Å
α = 22.46°, β = 90.00°, γ = 90.00°
Fractional positions:
Sr: 0.0000 0.0000 0.0000
Sr: 0.0000 0.1317 0.1317
Sr: 0.0000 0.2677 0.2677
Sr: 0.0000 0.4032 0.4032
Sr: 0.5000 0.4995 0.4995
Sr: 0.5000 0.6318 0.6318
Sr: 0.5000 0.7678 0.7678
Sr: 0.5000 0.9039 0.9039
V: 0.0000 0.5604 0.5604
V: 0.0000 0.6952 0.6952
V: 0.0000 0.8446 0.8446
V: 0.5000 0.0604 0.0604
V: 0.5000 0.2019 0.2019
V: 0.5000 0.3391 0.3391
O: 0.0000 0.4928 0.4928
O: 0.0000 0.6274 0.6274
O: 0.0000 0.9143 0.9143
O: 0.2453 0.4591 0.9494
O: 0.2453 0.9494 0.4591
O: 0.2509 0.0845 0.5869
O: 0.2509 0.5869 0.0845
O: 0.2544 0.3091 0.8156
O: 0.2544 0.8156 0.3091
O: 0.5000 0.1350 0.1350
O: 0.5000 0.2685 0.2685
O: 0.5000 0.4095 0.4095
O: 0.5000 0.9908 0.9908
O: 0.7456 0.3091 0.8156
O: 0.7456 0.8156 0.3091
O: 0.7491 0.0845 0.5869
O: 0.7491 0.5869 0.0845
O: 0.7547 0.4591 0.9494
O: 0.7547 0.9494 0.4591

---

# 3
Diffraction record for Sr2V3O9. The X-ray diffraction stick pattern is theoretical, not measured: it uses the GGA+U geometry in the Materials Project and copper Kα.
Peak positions follow from Bragg's law for the DFT cell and can differ from measured ones.

Top 10 peaks for 10 to 90 degrees two-theta, by angle:
| Position (°2θ) | I_rel |
| --- | --- |
| 24.5 | 36 |
| 26.7 | 51 |
| 28.1 | 94 |
| 28.8 | 66 |
| 28.9 | 23 |
| 30.7 | 100 |
| 36.4 | 21 |
| 36.5 | 21 |
| 48.0 | 21 |
| 48.8 | 21 |

Atomic structure:
a = 7.1025 Å, b = 7.4860 Å, c = 16.4237 Å
α = 90.19°, β = 90.06°, γ = 116.79°
Fractional positions:
Sr: 0.2457 0.0003 0.1250
Sr: 0.2500 0.4974 0.9516
Sr: 0.2497 0.9966 0.5486
Sr: 0.2508 0.4965 0.3749
Sr: 0.7492 0.5035 0.6251
Sr: 0.7503 0.0034 0.4514
Sr: 0.7500 0.5026 0.0484
Sr: 0.7543 0.9997 0.8750
V: 0.2481 0.4982 0.5801
V: 0.2496 0.2152 0.7446
V: 0.2503 0.5014 0.1599
V: 0.2502 0.7155 0.7553
V: 0.2512 0.9987 0.3402
V: 0.2527 0.0012 0.9198
V: 0.7473 0.9988 0.0802
V: 0.7488 0.0013 0.6598
V: 0.7498 0.2845 0.2447
V: 0.7497 0.4986 0.8401
V: 0.7504 0.7848 0.2554
V: 0.7519 0.5018 0.4199
O: 0.0491 0.3372 0.2231
O: 0.0507 0.8378 0.2751
O: 0.0555 0.3383 0.5180
O: 0.0574 0.8395 0.9799
O: 0.1444 0.1121 0.4032
O: 0.1447 0.6165 0.0973
O: 0.1530 0.6378 0.6411
O: 0.1592 0.1431 0.8597
O: 0.2396 0.0003 0.7123
O: 0.2429 0.5022 0.7880
O: 0.3438 0.3572 0.6393
O: 0.3505 0.8630 0.8598
O: 0.3584 0.3861 0.0985
O: 0.3583 0.8820 0.4012
O: 0.4415 0.6610 0.5198
O: 0.4432 0.1626 0.9822
O: 0.4478 0.6639 0.2259
O: 0.4492 0.1650 0.2761
O: 0.5508 0.8350 0.7239
O: 0.5522 0.3361 0.7741
O: 0.5568 0.8374 0.0178
O: 0.5585 0.3390 0.4802
O: 0.6417 0.1180 0.5988
O: 0.6416 0.6139 0.9015
O: 0.6495 0.1370 0.1402
O: 0.6562 0.6428 0.3607
O: 0.7571 0.4978 0.2120
O: 0.7604 0.9997 0.2877
O: 0.8408 0.8569 0.1403
O: 0.8470 0.3622 0.3589
O: 0.8553 0.3835 0.9027
O: 0.8556 0.8879 0.5968
O: 0.9426 0.1605 0.0201
O: 0.9445 0.6617 0.4820
O: 0.9493 0.1622 0.7249
O: 0.9509 0.6628 0.7769

---

# 4
Diffraction record for Sr2V3O9. The X-ray diffraction stick pattern is theoretical, not measured: it uses the GGA+U geometry in the Materials Project and copper Kα.
Peak positions follow from Bragg's law for the DFT cell and can differ from measured ones.

Top 10 peaks for 10 to 90 degrees two-theta, by angle:
| Position (°2θ) | I_rel |
| --- | --- |
| 24.8 | 33 |
| 26.8 | 47 |
| 28.1 | 89 |
| 29.2 | 75 |
| 30.6 | 100 |
| 34.7 | 32 |
| 36.6 | 43 |
| 49.5 | 25 |
| 51.4 | 30 |
| 60.6 | 30 |

Atomic structure:
a = 7.0547 Å, b = 16.4822 Å, c = 7.3949 Å
α = 90.00°, β = 116.00°, γ = 90.00°
Fractional positions:
Sr: 0.2491 0.1259 0.4989
Sr: 0.2491 0.3741 0.9989
Sr: 0.2502 0.5486 0.4988
Sr: 0.2502 0.9514 0.9988
Sr: 0.7498 0.0486 0.0012
Sr: 0.7498 0.4514 0.5012
Sr: 0.7509 0.6259 0.0011
Sr: 0.7509 0.8741 0.5011
V: 0.2502 0.1595 0.0000
V: 0.2502 0.3405 0.5000
V: 0.2499 0.5791 0.9993
V: 0.2498 0.7456 0.7203
V: 0.2498 0.7544 0.2203
V: 0.2499 0.9209 0.4993
V: 0.7501 0.0791 0.5007
V: 0.7502 0.2456 0.7797
V: 0.7502 0.2544 0.2797
V: 0.7501 0.4209 0.0007
V: 0.7498 0.6595 0.5000
V: 0.7498 0.8405 0.0000
O: 0.0527 0.2240 0.8323
O: 0.0527 0.2760 0.3323
O: 0.0560 0.5184 0.8359
O: 0.0560 0.9816 0.3359
O: 0.1388 0.0971 0.1142
O: 0.1388 0.4029 0.6142
O: 0.1518 0.6401 0.1402
O: 0.1518 0.8599 0.6402
O: 0.2455 0.7132 0.4986
O: 0.2455 0.7868 0.9986
O: 0.3497 0.6390 0.8581
O: 0.3497 0.8610 0.3581
O: 0.3620 0.0976 0.8851
O: 0.3620 0.4024 0.3851
O: 0.4433 0.5187 0.1642
O: 0.4433 0.9813 0.6642
O: 0.4450 0.2246 0.1690
O: 0.4450 0.2754 0.6690
O: 0.5550 0.7246 0.3310
O: 0.5550 0.7754 0.8310
O: 0.5567 0.0187 0.3358
O: 0.5567 0.4813 0.8358
O: 0.6380 0.5976 0.6149
O: 0.6380 0.9024 0.1149
O: 0.6503 0.1390 0.6419
O: 0.6503 0.3610 0.1419
O: 0.7545 0.2132 0.0014
O: 0.7545 0.2868 0.5014
O: 0.8482 0.1401 0.3598
O: 0.8482 0.3599 0.8598
O: 0.8612 0.5971 0.3858
O: 0.8612 0.9029 0.8858
O: 0.9440 0.0184 0.6641
O: 0.9440 0.4816 0.1641
O: 0.9473 0.7240 0.6677
O: 0.9473 0.7760 0.1677

---

# 5
Diffraction record for Sr2V3O9. The X-ray diffraction stick pattern is theoretical, not measured: it uses the GGA+U geometry in the Materials Project and copper Kα.
Peak positions follow from Bragg's law for the DFT cell and can differ from measured ones.

Top 10 peaks for 10 to 90 degrees two-theta, by angle:
| Position (°2θ) | I_rel |
| --- | --- |
| 24.5 | 39 |
| 26.7 | 54 |
| 28.1 | 100 |
| 28.8 | 71 |
| 29.0 | 27 |
| 30.5 | 54 |
| 30.7 | 52 |
| 36.4 | 25 |
| 36.6 | 23 |
| 49.0 | 25 |

Atomic structure:
a = 7.1091 Å, b = 7.4661 Å, c = 9.0295 Å
α = 103.41°, β = 101.81°, γ = 116.58°
Fractional positions:
Sr: 0.0000 0.0000 0.0000
Sr: 0.1776 0.6710 0.3473
Sr: 0.4226 0.4244 0.8506
Sr: 0.6019 0.1042 0.1988
V: 0.2122 0.2073 0.4162
V: 0.3918 0.8926 0.7820
V: 0.6333 0.6319 0.2575
V: 0.7981 0.0754 0.5903
V: 0.8060 0.5846 0.6082
V: 0.9686 0.4674 0.9403
O: 0.0044 0.2635 0.8219
O: 0.0400 0.2577 0.2900
O: 0.0802 0.1108 0.5489
O: 0.1291 0.6643 0.6537
O: 0.2238 0.6883 0.0582
O: 0.2579 0.0291 0.2913
O: 0.3484 0.0705 0.9098
O: 0.3779 0.4106 0.1386
O: 0.4720 0.4389 0.5459
O: 0.5200 0.9899 0.6475
O: 0.5626 0.8381 0.9050
O: 0.5951 0.8340 0.3752
O: 0.7637 0.7277 0.1318
O: 0.7767 0.2662 0.5260
O: 0.7904 0.5503 0.3782
O: 0.8079 0.5459 0.8199
O: 0.8404 0.3704 0.0670
O: 0.8427 0.8364 0.6728

---

# 6
Diffraction record for SrV13O18. The X-ray diffraction stick pattern is theoretical, not measured: it uses the GGA+U geometry in the Materials Project and copper Kα.
Peak positions follow from Bragg's law for the DFT cell and can differ from measured ones.

Top 10 peaks for 10 to 90 degrees two-theta, by angle:
| Position (°2θ) | I_rel |
| --- | --- |
| 23.8 | 22 |
| 25.0 | 17 |
| 27.1 | 15 |
| 30.7 | 13 |
| 36.1 | 9 |
| 36.4 | 10 |
| 42.1 | 100 |
| 60.8 | 28 |
| 61.5 | 26 |
| 77.3 | 12 |

Atomic structure:
a = 7.9947 Å, b = 7.9947 Å, c = 7.9947 Å
α = 110.69°, β = 110.69°, γ = 110.69°
Fractional positions:
Sr: 0.0000 0.0000 0.0000
V: 0.0721 0.8794 0.5639
V: 0.1206 0.4361 0.9279
V: 0.2328 0.6005 0.6577
V: 0.3423 0.7672 0.3995
V: 0.3995 0.3423 0.7672
V: 0.4361 0.9279 0.1206
V: 0.5000 0.5000 0.5000
V: 0.5639 0.0721 0.8794
V: 0.6005 0.6577 0.2328
V: 0.6577 0.2328 0.6005
V: 0.7672 0.3995 0.3423
V: 0.8794 0.5639 0.0721
V: 0.9279 0.1206 0.4361
O: 0.0521 0.5973 0.3831
O: 0.1217 0.1734 0.7392
O: 0.1734 0.7392 0.1217
O: 0.2273 0.3313 0.5034
O: 0.2608 0.8783 0.8266
O: 0.3313 0.5034 0.2273
O: 0.3831 0.0521 0.5973
O: 0.4027 0.6169 0.9479
O: 0.4966 0.7727 0.6687
O: 0.5034 0.2273 0.3313
O: 0.5973 0.3831 0.0521
O: 0.6169 0.9479 0.4027
O: 0.6687 0.4966 0.7727
O: 0.7392 0.1217 0.1734
O: 0.7727 0.6687 0.4966
O: 0.8266 0.2608 0.8783
O: 0.8783 0.8266 0.2608
O: 0.9479 0.4027 0.6169